Simulated powder XRD pattern of Li3Fe4B4O12 for λ = 1.5418 Å (Cu Kα), from a crystal structure in the Materials Project, relaxed with PBE+U.
No peak broadening, texture or thermal motion is included.

Top 6 peaks for 5 to 70 degrees two-theta, sorted by position:
2theta, d [Å], I (rel.), hkl
19.62, 4.524, 72, 1 -1 0
21.52, 4.129, 62, 1 1 -1
21.65, 4.106, 40, 0 2 -1
34.20, 2.622, 62, 2 0 0
35.13, 2.554, 100, 0 0 4
40.82, 2.211, 52, 0 4 1

Structural model:
Lattice parameters (Å, degrees): 5.250 9.032 10.219 89.08 89.20 89.65
Fractional positions:
Li1 0.000 0.000 0.000
Li2 0.022 0.997 0.483
Li3 0.333 0.349 0.245
Li4 0.369 0.335 0.742
Li5 0.507 0.506 0.983
Li6 0.863 0.834 0.736
Fe1 0.005 0.662 0.459
Fe2 0.019 0.339 0.963
Fe3 0.361 0.005 0.211
Fe4 0.364 0.666 0.703
Fe5 0.516 0.830 0.957
Fe6 0.517 0.180 0.467
Fe7 0.829 0.518 0.213
Fe8 0.865 0.172 0.712
B1 0.010 0.335 0.453
B2 0.014 0.671 0.953
B3 0.332 0.670 0.208
B4 0.353 0.003 0.705
B5 0.508 0.839 0.456
B6 0.518 0.168 0.961
B7 0.855 0.501 0.707
B8 0.859 0.177 0.205
O1 0.001 0.047 0.203
O2 0.003 0.379 0.745
O3 0.091 0.993 0.689
O4 0.092 0.672 0.266
O5 0.265 0.336 0.431
O6 0.271 0.659 0.922
O7 0.355 0.723 0.498
O8 0.383 0.043 0.007
O9 0.384 0.969 0.410
O10 0.393 0.301 0.945
O11 0.444 0.803 0.168
O12 0.457 0.539 0.185
O13 0.475 0.136 0.677
O14 0.491 0.879 0.745
O15 0.596 0.174 0.233
O16 0.597 0.496 0.719
O17 0.769 0.831 0.463
O18 0.775 0.156 0.930
O19 0.870 0.465 0.429
O20 0.878 0.548 0.997
O21 0.887 0.206 0.494
O22 0.893 0.807 0.937
O23 0.976 0.310 0.176
O24 0.976 0.632 0.662



Simulated powder XRD pattern of LiCr2O4 for λ = 1.5418 Å (Cu Kα), from a crystal structure in the Materials Project, relaxed with PBE+U.
No peak broadening, texture or thermal motion is included.

Top 6 peaks for 5 to 70 degrees two-theta, sorted by position:
2theta, d [Å], I (rel.), hkl
18.23, 4.867, 55, 0 1 1
18.34, 4.836, 100, 1 0 1
18.44, 4.812, 45, 1 0 -1
42.97, 2.105, 38, 2 2 0
43.07, 2.100, 37, 2 -2 0
43.51, 2.080, 36, 0 0 4

Structural model:
Lattice parameters (Å, degrees): 5.919 5.975 8.320 89.64 89.72 89.87
Fractional positions:
Li1 0.000 0.000 0.000
Li2 0.001 0.502 0.248
Li3 0.502 0.504 0.502
Li4 0.506 0.998 0.749
Cr1 0.002 0.253 0.624
Cr2 0.005 0.748 0.624
Cr3 0.252 0.002 0.375
Cr4 0.252 0.499 0.874
Cr5 0.499 0.256 0.123
Cr6 0.505 0.752 0.125
Cr7 0.754 0.004 0.375
Cr8 0.755 0.501 0.874
O1 0.007 0.784 0.379
O2 0.227 0.499 0.636
O3 0.232 0.004 0.604
O4 0.278 0.004 0.143
O5 0.286 0.494 0.120
O6 0.500 0.227 0.359
O7 0.508 0.788 0.367
O8 0.510 0.268 0.894
O9 0.511 0.717 0.885
O10 0.724 0.013 0.141
O11 0.729 0.497 0.109
O12 0.774 0.503 0.643
O13 0.774 0.998 0.602
O14 0.994 0.280 0.866
O15 0.999 0.219 0.380
O16 0.999 0.724 0.864